No. 1
This entry pairs a crystal structure of SmBi with its calculated powder diffractogram. Radiation: CuKα. Structure: the GGA-PBE geometry in OQMD.

Main lines, in order of rising 2θ (2θ = 5–70°):
2θ/deg, d [Å], I (rel.), (hkl)
24.04, 3.701, 5, 1 1 1
27.83, 3.206, 100, 2 0 0
39.77, 2.267, 78, 2 2 0
47.01, 1.933, 3, 3 1 1
49.23, 1.851, 29, 2 2 2
57.50, 1.603, 14, 4 0 0
63.22, 1.471, 1, 3 3 1
65.06, 1.434, 38, 4 2 0

Atomic structure:
Cell: 6.4111 6.4111 6.4111 Å, 90.00 90.00 90.00°
Space group Fm-3m (No. 225)
One atom of each set of equivalent atoms:
Sm1 0.0000 0.0000 0.0000 [4 per cell]
Bi1 0.0000 0.0000 0.5000 [4 per cell]

***

No. 2
This entry pairs a crystal structure of Sm5Sn2Bi2 with its calculated powder diffractogram. Radiation: CuKα. Structure: the GGA-PBE geometry in OQMD.

Main lines, in order of rising 2θ (2θ = 5–70°):
2θ/deg, d [Å], I (rel.), (hkl)
29.18, 3.061, 99, 3 1 2
30.20, 2.960, 79, 0 2 2
31.02, 2.883, 100, 4 2 0
31.93, 2.803, 74, 5 1 1
32.87, 2.724, 93, 4 2 1
34.29, 2.615, 78, 1 1 3
34.40, 2.607, 79, 1 3 1
44.52, 2.035, 62, 5 1 3

Atomic structure:
Cell: 15.9107 8.3550 8.3874 Å, 90.00 90.00 90.00°
Space group Cmce (No. 64)
One atom of each set of equivalent atoms:
Sm1 0.0000 0.0000 0.0000 [4 per cell]
Sm2 0.1325 0.1680 0.3341 [16 per cell]
Sn1 0.0000 0.1334 0.6333 [8 per cell]
Bi1 0.2046 0.0000 0.0000 [8 per cell]

***

No. 3
This entry pairs a crystal structure of Sm3Tm2Bi3 with its calculated powder diffractogram. Radiation: CuKα. Structure: the GGA-PBE geometry in OQMD.

Main lines, in order of rising 2θ (2θ = 5–70°):
2θ/deg, d [Å], I (rel.), (hkl)
27.73, 3.217, 21, 0 0 2
29.57, 3.021, 25, 2 1 0
32.75, 2.734, 100, 2 1 1
33.64, 2.664, 52, 3 0 0
33.97, 2.639, 80, 1 1 2
43.17, 2.096, 22, 3 1 1
52.32, 1.749, 27, 2 1 3
65.17, 1.431, 21, 5 0 2

Atomic structure:
Cell: 9.2282 9.2282 6.4333 Å, 90.00 90.00 120.00°
Space group P6_3/mcm (No. 193)
One atom of each set of equivalent atoms:
Sm1 0.0000 0.2452 0.2500 [6 per cell]
Tm1 0.3333 0.6667 0.0000 [4 per cell]
Bi1 0.0000 0.3931 0.7500 [6 per cell]

***

No. 4
This entry pairs a crystal structure of TaSnBi with its calculated powder diffractogram. Radiation: CuKα. Structure: the GGA-PBE geometry in OQMD.

Main lines, in order of rising 2θ (2θ = 5–70°):
2θ/deg, d [Å], I (rel.), (hkl)
19.43, 4.569, 8, 1 1 0
33.98, 2.638, 100, 3 0 0
35.92, 2.500, 83, 1 1 1
45.90, 1.977, 8, 3 0 1
50.28, 1.815, 32, 2 2 1
60.82, 1.523, 19, 3 3 0
62.08, 1.495, 35, 4 1 1
62.17, 1.493, 6, 0 0 2

Atomic structure:
Cell: 9.1385 9.1385 2.9865 Å, 90.00 90.00 120.00°
Space group P-62m (No. 189)
One atom of each set of equivalent atoms:
Ta1 0.0000 0.0000 0.0000 [1 per cell]
Ta2 0.3333 0.6667 0.0000 [2 per cell]
Sn1 0.0000 0.3341 0.5000 [3 per cell]
Bi1 0.0000 0.6674 0.5000 [3 per cell]

***

No. 5
This entry pairs a crystal structure of Zr3Sn4Bi4 with its calculated powder diffractogram. Radiation: CuKα. Structure: the GGA-PBE geometry in OQMD.

Main lines, in order of rising 2θ (2θ = 5–70°):
2θ/deg, d [Å], I (rel.), (hkl)
22.14, 4.016, 86, 1 1 2
23.17, 3.839, 53, 2 0 0
32.99, 2.715, 100, 2 2 0
34.30, 2.614, 36, 1 1 4
34.51, 2.599, 59, 2 1 3
38.21, 2.356, 58, 2 0 4
41.98, 2.152, 32, 3 0 3
47.35, 1.920, 31, 4 0 0

Atomic structure:
Cell: 7.6788 7.6788 11.9314 Å, 90.00 90.00 90.00°
Space group I-42m (No. 121)
One atom of each set of equivalent atoms:
Zr1 0.0000 0.0000 0.0000 [2 per cell]
Zr2 0.0000 0.5000 0.2500 [4 per cell]
Sn1 0.2085 0.2085 0.1504 [8 per cell]
Bi1 0.0000 0.0000 0.3189 [4 per cell]
Bi2 0.0000 0.5000 0.0000 [4 per cell]

***

No. 6
This entry pairs a crystal structure of Tb4TcBi with its calculated powder diffractogram. Radiation: CuKα. Structure: the GGA-PBE geometry in OQMD.

Main lines, in order of rising 2θ (2θ = 5–70°):
2θ/deg, d [Å], I (rel.), (hkl)
29.39, 3.039, 59, 1 1 -2
30.63, 2.919, 31, 0 4 1
30.81, 2.902, 67, 3 1 -1
33.87, 2.646, 100, 2 2 1
33.96, 2.640, 27, 2 4 -1
34.85, 2.574, 25, 1 5 0
34.97, 2.566, 40, 1 3 -2
36.19, 2.482, 26, 3 3 -1

Atomic structure:
Cell: 8.9596 13.5436 6.2428 Å, 90.00 112.68 90.00°
Space group C2/c (No. 15)
One atom of each set of equivalent atoms:
Tb1 0.1091 0.1667 0.0629 [8 per cell]
Tb2 0.2253 0.4291 0.3526 [8 per cell]
Tc1 0.0000 0.0010 0.7500 [4 per cell]
Bi1 0.0000 0.3725 0.7500 [4 per cell]

***

No. 7
This entry pairs a crystal structure of Tb4TmBi5 with its calculated powder diffractogram. Radiation: CuKα. Structure: the GGA-PBE geometry in OQMD.

Main lines, in order of rising 2θ (2θ = 5–70°):
2θ/deg, d [Å], I (rel.), (hkl)
24.41, 3.647, 3, 1 0 5
28.25, 3.159, 100, 1 1 0
40.38, 2.233, 78, 2 0 0
47.75, 1.905, 2, 2 1 5
50.02, 1.824, 28, 2 0 10
58.44, 1.579, 13, 2 2 0
64.27, 1.449, 1, 3 0 5
66.15, 1.413, 37, 3 1 0

Atomic structure:
Cell: 4.4672 4.4672 31.5813 Å, 90.00 90.00 90.00°
Space group I4/mmm (No. 139)
One atom of each set of equivalent atoms:
Tb1 0.0000 0.0000 0.0999 [4 per cell]
Tb2 0.0000 0.0000 0.3004 [4 per cell]
Tm1 0.0000 0.0000 0.5000 [2 per cell]
Bi1 0.0000 0.0000 0.0000 [2 per cell]
Bi2 0.0000 0.0000 0.2001 [4 per cell]
Bi3 0.0000 0.0000 0.4009 [4 per cell]

***

No. 8
This entry pairs a crystal structure of Tb5Zn2Bi with its calculated powder diffractogram. Radiation: CuKα. Structure: the GGA-PBE geometry in OQMD.

Main lines, in order of rising 2θ (2θ = 5–70°):
2θ/deg, d [Å], I (rel.), (hkl)
25.16, 3.540, 24, 2 1 1
31.97, 2.799, 43, 1 1 4
32.13, 2.786, 100, 2 1 3
34.42, 2.605, 89, 3 1 0
35.58, 2.523, 35, 2 0 4
52.90, 1.731, 20, 4 0 4
55.38, 1.659, 22, 3 3 4
64.72, 1.440, 27, 5 2 3

Atomic structure:
Cell: 8.2392 8.2392 12.7665 Å, 90.00 90.00 90.00°
Space group I4/mcm (No. 140)
One atom of each set of equivalent atoms:
Tb1 0.0000 0.0000 0.0000 [4 per cell]
Tb2 0.1513 0.3487 0.1422 [16 per cell]
Zn1 0.1425 0.3575 0.5000 [8 per cell]
Bi1 0.0000 0.0000 0.2500 [4 per cell]